Simulated powder X-ray diffraction pattern of Nd6Sm8Dy for Cu Kα X-rays, from a crystal structure in Alexandria, relaxed with GGA-PBE.

Peak list (10 most intense, 15 to 90 degrees two-theta, sorted by position)
d_spacing  I (rel.)  h k l
3.511  28  0 2 1
3.126  25  1 2 0
3.083  19  0 1 2
2.828  100  3 -1 1
2.757  25  3 0 0
2.727  57  1 1 2
1.824  20  2 3 1
1.805  20  4 1 0
1.521  12  6 -4 1
1.450  12  6 -1 1

Cell and atoms:
abc: 9.5492 9.5492 6.6441
angles: 90.00 90.00 120.00
Space group P-3 (No. 147)
Inequivalent atoms, fractional coordinates:
Nd 0.0850 0.6505 0.1638 [6 per cell]
Sm 0.0297 0.7504 0.6658 [6 per cell]
Sm 0.3333 0.6667 0.6151 [2 per cell]
Dy 0.0000 0.0000 0.0000 [1 per cell]